Record 1
Diffraction record for Pm2AgSeO3. The powder diffractogram is calculated, not measured: it uses a structure optimized by DFT (PBE) and copper Kα.

Atomic structure:
```
Pm2AgSeO3
1.0
3.690 2.131 5.919
-3.690 2.131 5.919
0.000 -4.261 5.919
Pm Ag Se O
4 2 2 6
Direct
0.000 0.000 0.000
0.000 0.000 0.500
0.000 0.500 0.000
0.500 0.000 0.000
0.422 0.422 0.422
0.578 0.578 0.578
0.280 0.280 0.280
0.720 0.720 0.720
0.177 0.767 0.767
0.233 0.233 0.823
0.233 0.823 0.233
0.767 0.177 0.767
0.767 0.767 0.177
0.823 0.233 0.233
```

Main lines, low angle first (2θ = 5–70°):
2θ/deg  I (rel.)
24.1  67
28.4  90
28.5  87
29.7  68
34.6  100
49.4  77


Record 2
Diffraction record for PmAgSeO5. The powder diffractogram is calculated, not measured: it uses a structure optimized by DFT (PBE) and copper Kα.

Atomic structure:
```
PmAgSeO5
1.0
4.241 -4.614 0.000
4.241 4.614 0.000
-4.184 0.000 7.450
Pm Ag Se O
2 2 2 10
Direct
0.000 0.000 0.000
0.000 0.000 0.500
0.307 0.693 0.750
0.693 0.307 0.250
0.350 0.650 0.250
0.650 0.350 0.750
0.078 0.922 0.750
0.218 0.720 0.395
0.280 0.782 0.105
0.291 0.362 0.138
0.362 0.291 0.638
0.638 0.709 0.362
0.709 0.638 0.862
0.720 0.218 0.895
0.782 0.280 0.605
0.922 0.078 0.250
```

Main lines, low angle first (2θ = 5–70°):
2θ/deg  I (rel.)
22.9  100
24.1  97
30.8  41
31.1  31
31.5  71
47.2  41


Record 3
Diffraction record for SrPm2AgO5. The powder diffractogram is calculated, not measured: it uses a structure optimized by DFT (PBE) and copper Kα.

Atomic structure:
```
SrPm2AgO5
1.0
-3.354 3.354 6.158
3.354 -3.354 6.158
3.354 3.354 -6.158
Sr Pm Ag O
2 4 2 10
Direct
0.250 0.250 0.000
0.750 0.750 0.000
0.169 0.669 0.838
0.331 0.169 0.500
0.669 0.831 0.500
0.831 0.331 0.162
0.250 0.750 0.500
0.750 0.250 0.500
0.000 0.000 0.000
0.032 0.228 0.500
0.228 0.728 0.196
0.272 0.468 0.500
0.468 0.968 0.196
0.500 0.500 0.000
0.532 0.032 0.804
0.728 0.532 0.500
0.772 0.272 0.804
0.968 0.772 0.500
```

Main lines, low angle first (2θ = 5–70°):
2θ/deg  I (rel.)
29.0  48
30.3  100
30.7  54
37.1  63
37.9  22
47.8  32